Starting from a crystal structure in Alexandria, relaxed with GGA+U, the X-ray powder pattern of Rb2Cr4CuH4O16 was calculated for copper Kα.
Lines closer than 0.1° are merged.

Most intense lines, 2θ from 10° to 90°, by intensity:
- 2θ = 25.78°, 3.456 Å, I 100
- 2θ = 26.32°, 3.387 Å, I 93
- 2θ = 28.14°, 3.171 Å, I 90
- 2θ = 17.02°, 5.209 Å, I 52
- 2θ = 27.25°, 3.272 Å, I 48
- 2θ = 25.09°, 3.550 Å, I 32
- 2θ = 24.49°, 3.635 Å, I 27
- 2θ = 27.93°, 3.195 Å, I 27
- 2θ = 36.80°, 2.442 Å, I 24
- 2θ = 18.66°, 4.755 Å, I 20
- 2θ = 28.55°, 3.126 Å, I 19
- 2θ = 50.07°, 1.822 Å, I 18

Crystal structure
```
data_Rb2Cr4CuH4O16
_chemical_formula_sum 'Rb2 Cr4 Cu1 H4 O16'
_space_group_name_H-M_alt 'P -1'
_space_group_IT_number 2
_cell_length_a 7.509
_cell_length_b 7.725
_cell_length_c 7.854
_cell_angle_alpha 87.96
_cell_angle_beta 62.02
_cell_angle_gamma 82.88
loop_
_space_group_symop_operation_xyz
'x,y,z'
'-x,-y,-z'
loop_
_atom_site_label
_atom_site_fract_x
_atom_site_fract_y
_atom_site_fract_z
Rb1 0.247 0.342 0.476
Cr1 0.031 0.852 0.747
Cr2 0.255 0.616 0.957
Cu1 0.500 0.000 0.000
H1 0.341 0.071 0.781
H2 0.426 0.243 0.805
O1 0.044 0.727 0.936
O2 0.129 0.730 0.554
O3 0.162 0.017 0.711
O4 0.173 0.542 0.173
O5 0.212 0.084 0.189
O6 0.370 0.459 0.791
O7 0.417 0.757 0.918
O8 0.457 0.112 0.791
```